Entry 1:
Diffraction record for Ac2InSb3Pt4. The powder diffractogram is theoretical, not measured: it uses a PBE-relaxed structure and Cu Kα.

Atomic structure:
abc: 4.683 4.683 10.903
angles: 90.00 90.00 90.00
Atoms (fractional coordinates):
Ac (0.000, 0.500, 0.237)
Ac (0.500, 0.000, 0.763)
In (0.000, 0.000, 0.500)
Sb (0.000, 0.500, 0.873)
Sb (0.500, 0.000, 0.127)
Sb (0.500, 0.500, 0.500)
Pt (0.000, 0.000, 0.000)
Pt (0.000, 0.500, 0.631)
Pt (0.500, 0.000, 0.369)
Pt (0.500, 0.500, 0.000)

Most intense lines, 10 to 80 degrees two-theta, in order of rising 2θ:
31.2 deg, d 2.871, I = 60.4
31.6 deg, d 2.830, I = 100.0
38.4 deg, d 2.342, I = 71.0
43.0 deg, d 2.104, I = 24.6
45.9 deg, d 1.977, I = 24.8
50.3 deg, d 1.815, I = 33.0
55.5 deg, d 1.656, I = 24.6
57.9 deg, d 1.593, I = 12.6
61.4 deg, d 1.510, I = 21.0
65.3 deg, d 1.429, I = 25.4

=====

Entry 2:
Diffraction record for Ac2InSiPt6. The powder diffractogram is theoretical, not measured: it uses a PBE-relaxed structure and Cu Kα.

Atomic structure:
abc: 6.526 6.531 6.766
angles: 67.31 67.20 61.64
Atoms (fractional coordinates):
Ac (0.235, 0.235, 0.311)
Ac (0.765, 0.765, 0.689)
In (0.500, 0.500, 0.500)
Si (0.000, 0.000, 0.000)
Pt (0.222, 0.647, 0.867)
Pt (0.238, 0.237, 0.809)
Pt (0.351, 0.778, 0.135)
Pt (0.649, 0.222, 0.865)
Pt (0.762, 0.763, 0.191)
Pt (0.778, 0.353, 0.133)

Most intense lines, 10 to 80 degrees two-theta, in order of rising 2θ:
14.7 deg, d 6.042, I = 40.1
27.8 deg, d 3.210, I = 29.6
29.9 deg, d 2.986, I = 36.2
30.5 deg, d 2.926, I = 28.9
32.2 deg, d 2.781, I = 100.0
34.8 deg, d 2.581, I = 59.1
37.3 deg, d 2.413, I = 29.7
38.1 deg, d 2.361, I = 94.6
45.2 deg, d 2.004, I = 28.2
56.7 deg, d 1.623, I = 27.9

=====

Entry 3:
Diffraction record for Ac2TlInPt6. The powder diffractogram is theoretical, not measured: it uses a PBE-relaxed structure and Cu Kα.

Atomic structure:
abc: 7.153 7.153 7.153
angles: 60.00 60.00 60.00
Atoms (fractional coordinates):
Ac (0.250, 0.250, 0.250)
Ac (0.750, 0.750, 0.750)
Tl (0.000, 0.000, 0.000)
In (0.500, 0.500, 0.500)
Pt (0.253, 0.253, 0.747)
Pt (0.253, 0.747, 0.253)
Pt (0.253, 0.747, 0.747)
Pt (0.747, 0.253, 0.253)
Pt (0.747, 0.253, 0.747)
Pt (0.747, 0.747, 0.253)

Most intense lines, 10 to 80 degrees two-theta, in order of rising 2θ:
17.5 deg, d 5.058, I = 10.7
24.9 deg, d 3.576, I = 19.1
30.6 deg, d 2.920, I = 87.5
35.5 deg, d 2.529, I = 100.0
39.9 deg, d 2.262, I = 5.3
43.8 deg, d 2.065, I = 8.6
51.1 deg, d 1.788, I = 72.1
60.7 deg, d 1.525, I = 38.9
63.7 deg, d 1.460, I = 24.9
75.1 deg, d 1.264, I = 11.6